Diffraction record for Zr5Ge3. The PXRD pattern is simulated, not measured: it uses a structure optimized by DFT (GGA-PBE) and Cu Kα (λ = 1.5418 Å).

Structure:
```
Zr5Ge3
1.0
8.107 0.000 0.000
-4.054 7.021 0.000
0.000 0.000 5.649
Zr Ge
10 6
direct
0.000 0.254 0.250 Zr
0.000 0.746 0.750 Zr
0.254 0.000 0.250 Zr
0.254 0.254 0.750 Zr
0.333 0.667 0.000 Zr
0.333 0.667 0.500 Zr
0.667 0.333 0.000 Zr
0.667 0.333 0.500 Zr
0.746 0.000 0.750 Zr
0.746 0.746 0.250 Zr
0.000 0.389 0.750 Ge
0.000 0.611 0.250 Ge
0.389 0.000 0.750 Ge
0.389 0.389 0.250 Ge
0.611 0.000 0.250 Ge
0.611 0.611 0.750 Ge
```

Peak list (12 most intense, 2θ = 10–90°, by angle)
2θ 31.7, intensity 181
2θ 33.8, intensity 319
2θ 34.2, intensity 175
2θ 37.4, intensity 1000
2θ 38.5, intensity 617
2θ 38.9, intensity 905
2θ 49.5, intensity 130
2θ 55.8, intensity 217
2θ 59.7, intensity 143
2θ 60.3, intensity 240
2θ 62.3, intensity 134
2θ 79.2, intensity 142

Diffraction record for HfH2. The PXRD pattern is simulated, not measured: it uses a structure optimized by DFT (GGA-PBE) and Cu Kα (λ = 1.5418 Å).

Structure:
```
HfH2
1.0
-1.750 1.750 2.133
1.750 -1.750 2.133
1.750 1.750 -2.133
Hf H
1 2
direct
0.000 0.000 0.000 Hf
0.250 0.750 0.500 H
0.750 0.250 0.500 H
```

Peak list (11 most intense, 2θ = 10–90°, by angle)
2θ 33.1, intensity 1000
2θ 36.3, intensity 379
2θ 42.4, intensity 124
2θ 52.3, intensity 142
2θ 57.0, intensity 219
2θ 63.3, intensity 315
2θ 69.5, intensity 118
2θ 71.6, intensity 109
2θ 77.0, intensity 45
2θ 86.5, intensity 69
2θ 88.3, intensity 65

Diffraction record for KHgH2I3O. The PXRD pattern is simulated, not measured: it uses a structure optimized by DFT (GGA-PBE) and Cu Kα (λ = 1.5418 Å).

Structure:
```
KHgH2I3O
1.0
8.697 0.000 0.000
0.000 9.642 0.000
0.000 0.000 11.982
K Hg H I O
4 4 8 12 4
direct
0.057 0.155 0.000 K
0.443 0.655 0.500 K
0.557 0.345 0.000 K
0.943 0.845 0.500 K
0.245 0.703 0.858 Hg
0.255 0.203 0.358 Hg
0.745 0.797 0.858 Hg
0.755 0.297 0.358 Hg
0.064 0.567 0.427 H
0.100 0.531 0.550 H
0.400 0.031 0.050 H
0.436 0.067 0.927 H
0.564 0.933 0.427 H
0.600 0.969 0.550 H
0.900 0.469 0.050 H
0.936 0.433 0.927 H
0.004 0.773 0.015 I
0.236 0.415 0.201 I
0.237 0.422 0.795 I
0.263 0.922 0.295 I
0.264 0.915 0.701 I
0.496 0.273 0.515 I
0.504 0.727 0.015 I
0.736 0.085 0.201 I
0.737 0.078 0.795 I
0.763 0.578 0.295 I
0.764 0.585 0.701 I
0.996 0.227 0.515 I
0.122 0.600 0.492 O
0.378 0.100 0.992 O
0.622 0.900 0.492 O
0.878 0.400 0.992 O
```

Peak list (12 most intense, 2θ = 10–90°, by angle)
2θ 11.8, intensity 1000
2θ 14.8, intensity 217
2θ 15.6, intensity 212
2θ 20.4, intensity 273
2θ 23.7, intensity 531
2θ 25.3, intensity 841
2θ 25.8, intensity 348
2θ 26.2, intensity 429
2θ 28.8, intensity 274
2θ 38.8, intensity 313
2θ 41.1, intensity 231
2θ 41.6, intensity 555

Diffraction record for Hg2P2H4O9. The PXRD pattern is simulated, not measured: it uses a structure optimized by DFT (GGA-PBE) and Cu Kα (λ = 1.5418 Å).

Structure:
```
Hg2P2H4O9
1.0
7.045 0.000 0.000
2.134 7.237 0.000
2.081 0.136 7.835
Hg P H O
4 4 8 18
direct
0.189 0.231 0.021 Hg
0.264 0.636 0.255 Hg
0.736 0.364 0.745 Hg
0.811 0.769 0.979 Hg
0.223 0.536 0.688 P
0.331 0.796 0.862 P
0.669 0.204 0.138 P
0.777 0.464 0.312 P
0.167 0.270 0.514 H
0.178 0.103 0.644 H
0.201 0.030 0.370 H
0.417 0.975 0.239 H
0.583 0.025 0.761 H
0.799 0.970 0.630 H
0.822 0.897 0.356 H
0.833 0.730 0.486 H
0.008 0.431 0.228 O
0.111 0.163 0.553 O
0.164 0.759 0.018 O
0.269 0.487 0.500 O
0.272 0.975 0.255 O
0.276 0.732 0.696 O
0.312 0.004 0.822 O
0.357 0.390 0.784 O
0.454 0.313 0.131 O
0.546 0.687 0.869 O
0.643 0.610 0.216 O
0.688 0.996 0.178 O
0.724 0.268 0.304 O
0.728 0.025 0.745 O
0.731 0.513 0.500 O
0.836 0.241 0.982 O
0.889 0.837 0.447 O
0.992 0.569 0.772 O
```

Peak list (12 most intense, 2θ = 10–90°, by angle)
2θ 11.3, intensity 1000
2θ 12.2, intensity 404
2θ 21.3, intensity 356
2θ 22.0, intensity 369
2θ 24.6, intensity 558
2θ 24.7, intensity 354
2θ 26.2, intensity 398
2θ 27.0, intensity 633
2θ 27.2, intensity 647
2θ 28.4, intensity 475
2θ 30.5, intensity 416
2θ 31.0, intensity 367

Diffraction record for HgH2SO5. The PXRD pattern is simulated, not measured: it uses a structure optimized by DFT (GGA-PBE) and Cu Kα (λ = 1.5418 Å).

Structure:
```
HgH2SO5
1.0
8.053 0.000 0.000
0.000 9.135 0.000
0.000 0.000 5.553
Hg H S O
4 8 4 20
direct
0.133 0.207 0.000 Hg
0.367 0.707 0.500 Hg
0.633 0.293 0.000 Hg
0.867 0.793 0.500 Hg
0.029 0.487 0.136 H
0.200 0.506 0.000 H
0.300 0.006 0.500 H
0.471 0.987 0.636 H
0.529 0.013 0.136 H
0.700 0.994 0.000 H
0.800 0.494 0.500 H
0.971 0.513 0.636 H
0.093 0.859 0.999 S
0.407 0.359 0.499 S
0.593 0.641 0.999 S
0.907 0.141 0.499 S
0.075 0.080 0.499 O
0.092 0.454 0.993 O
0.119 0.766 0.219 O
0.119 0.767 0.778 O
0.222 0.980 0.999 O
0.278 0.480 0.499 O
0.381 0.266 0.719 O
0.381 0.267 0.278 O
0.408 0.954 0.493 O
0.425 0.580 0.999 O
0.575 0.420 0.499 O
0.592 0.046 0.993 O
0.619 0.733 0.778 O
0.619 0.734 0.219 O
0.722 0.520 0.999 O
0.778 0.020 0.499 O
0.881 0.233 0.278 O
0.881 0.234 0.719 O
0.908 0.546 0.493 O
0.925 0.920 0.999 O
```

Peak list (12 most intense, 2θ = 10–90°, by angle)
2θ 14.7, intensity 236
2θ 18.7, intensity 916
2θ 19.4, intensity 520
2θ 24.2, intensity 444
2θ 27.4, intensity 1000
2θ 31.4, intensity 218
2θ 32.2, intensity 351
2θ 33.6, intensity 246
2θ 33.8, intensity 564
2θ 35.4, intensity 230
2θ 40.7, intensity 505
2θ 45.0, intensity 201

Diffraction record for Hg3H4S2O11. The PXRD pattern is simulated, not measured: it uses a structure optimized by DFT (GGA-PBE) and Cu Kα (λ = 1.5418 Å).

Structure:
```
Hg3H4S2O11
1.0
3.631 -4.557 0.000
3.631 4.557 0.000
-2.311 0.000 14.632
Hg H S O
6 8 4 22
direct
0.000 0.500 0.000 Hg
0.183 0.315 0.351 Hg
0.315 0.183 0.851 Hg
0.500 0.000 0.500 Hg
0.685 0.817 0.149 Hg
0.817 0.685 0.649 Hg
0.177 0.643 0.212 H
0.220 0.596 0.852 H
0.357 0.823 0.288 H
0.404 0.780 0.648 H
0.596 0.220 0.352 H
0.643 0.177 0.712 H
0.780 0.404 0.148 H
0.823 0.357 0.788 H
0.125 0.308 0.605 S
0.308 0.125 0.105 S
0.692 0.875 0.895 S
0.875 0.692 0.395 S
0.084 0.750 0.466 O
0.114 0.445 0.863 O
0.117 0.129 0.669 O
0.129 0.117 0.169 O
0.132 0.552 0.661 O
0.250 0.916 0.034 O
0.332 0.668 0.250 O
0.349 0.349 0.062 O
0.349 0.349 0.562 O
0.445 0.114 0.363 O
0.448 0.868 0.839 O
0.552 0.132 0.161 O
0.555 0.886 0.637 O
0.651 0.651 0.438 O
0.651 0.651 0.938 O
0.668 0.332 0.750 O
0.750 0.084 0.966 O
0.868 0.448 0.339 O
0.871 0.883 0.831 O
0.883 0.871 0.331 O
0.886 0.555 0.137 O
0.916 0.250 0.534 O
```

Peak list (12 most intense, 2θ = 10–90°, by angle)
2θ 18.7, intensity 541
2θ 21.0, intensity 416
2θ 22.6, intensity 668
2θ 23.0, intensity 327
2θ 24.8, intensity 1000
2θ 25.6, intensity 504
2θ 31.4, intensity 479
2θ 32.2, intensity 450
2θ 32.7, intensity 340
2θ 33.0, intensity 493
2θ 42.8, intensity 357
2θ 54.6, intensity 286